Entry 1:
ScIn4Cl6: theoretical XRD peak list (Cu Kα (λ = 1.5418 Å)), based on a structure optimized by DFT (PBE).
Neutral-atom scattering factors, no anomalous dispersion.

Structural model:
```
ScIn4Cl6
1.0
8.2912 0.0000 0.0000
0.0000 8.2912 0.0000
0.0000 0.0000 10.2785
Sc In Cl
2 8 12
direct
0.0000 0.0000 0.0000
0.5000 0.5000 0.5000
0.1513 0.3487 0.2500
0.1513 0.3487 0.7500
0.3487 0.8487 0.2500
0.3487 0.8487 0.7500
0.6513 0.1513 0.2500
0.6513 0.1513 0.7500
0.8487 0.6513 0.2500
0.8487 0.6513 0.7500
0.0000 0.0000 0.2476
0.0000 0.0000 0.7524
0.1552 0.7384 0.0000
0.2384 0.6552 0.5000
0.2616 0.1552 0.0000
0.3448 0.2384 0.5000
0.5000 0.5000 0.2524
0.5000 0.5000 0.7476
0.6552 0.7616 0.5000
0.7384 0.8448 0.0000
0.7616 0.3448 0.5000
0.8448 0.2616 0.0000
```

The 10 most intense peaks (5° ≤ 2θ ≤ 70°), in order of falling intensity:
two_theta	I/Imax
29.71	100
24.00	35
17.25	29
34.20	27
34.92	22
38.55	19
49.68	18
59.43	17
42.82	16
13.72	13

Entry 2:
Li6InPt: theoretical XRD peak list (Cu Kα (λ = 1.5418 Å)), based on a structure optimized by DFT (PBE).
Neutral-atom scattering factors, no anomalous dispersion.

Structural model:
```
Li6InPt
1.0
4.0644 0.0000 0.0000
0.0000 3.9984 4.0739
0.0000 -3.9984 4.0739
Li In Pt
6 1 1
direct
0.0000 0.0000 0.0000
0.0000 0.0102 0.5488
0.0000 0.5488 0.0102
0.5000 0.2642 0.7814
0.5000 0.2797 0.2797
0.5000 0.7814 0.2642
0.0000 0.5288 0.5288
0.5000 0.7736 0.7736
```

The 10 most intense peaks (5° ≤ 2θ ≤ 70°), in order of falling intensity:
two_theta	I/Imax
15.53	100
26.93	50
38.55	50
22.23	40
31.08	34
41.56	19
50.32	18
42.02	16
35.43	13
56.01	13

Entry 3:
PmPr2Tl4: theoretical XRD peak list (Cu Kα (λ = 1.5418 Å)), based on a structure optimized by DFT (PBE).
Neutral-atom scattering factors, no anomalous dispersion.

Structural model:
```
PmPr2Tl4
1.0
-3.8170 3.8170 3.9693
3.8170 -3.8170 3.9693
3.8170 3.8170 -3.9693
Pm Pr Tl
1 2 4
direct
0.0000 0.0000 0.0000
0.0000 0.5000 0.5000
0.5000 0.0000 0.5000
0.0000 0.0000 0.5000
0.0000 0.5000 0.0000
0.5000 0.0000 0.0000
0.5000 0.5000 0.5000
```

The 10 most intense peaks (5° ≤ 2θ ≤ 70°), in order of falling intensity:
two_theta	I/Imax
32.54	100
33.19	47
58.89	37
57.65	20
47.65	17
68.17	12
23.30	10
45.71	10
16.11	8
69.68	6